[1]
Theoretical X-ray powder pattern
Compound: CuCl2O2
Radiation: Cu Kα, 1.54184 Å
Structure: a structure optimized by DFT (PBE)
No peak broadening, texture or thermal motion is included.

Crystal structure
```
data_CuCl2O2
_chemical_formula_sum 'Cu2 Cl4 O4'
_cell_length_a 7.0006
_cell_length_b 4.1281
_cell_length_c 6.8962
_cell_angle_alpha 90.00
_cell_angle_beta 90.00
_cell_angle_gamma 90.00
_symmetry_space_group_name_H-M 'P m n a'
_symmetry_Int_Tables_number 53
_symmetry_space_group_name_Hall '-P 2ac 2'
loop_
_atom_site_label
_atom_site_type_symbol
_atom_site_fract_x
_atom_site_fract_y
_atom_site_fract_z
Cu1 Cu 0.0000 0.0000 0.0000
Cl1 Cl 0.0000 0.3094 0.2589
O1 O 0.2475 0.0000 0.5000
```

Largest 10 diffraction maxima, low angle first, 10 to 90 degrees two-theta:
| index | two_theta | I (rel.) |
| --- | --- | --- |
| 1 0 1 | 18.06 | 100 |
| 0 1 0 | 21.53 | 48 |
| 0 1 1 | 25.14 | 53 |
| 2 0 0 | 25.45 | 63 |
| 1 1 1 | 28.24 | 81 |
| 0 1 2 | 33.87 | 84 |
| 2 1 1 | 36.08 | 36 |
| 0 2 2 | 51.61 | 31 |
| 0 0 4 | 53.14 | 23 |
| 4 1 2 | 63.75 | 21 |

[2]
Theoretical X-ray powder pattern
Compound: KSn4P3O12
Radiation: Cu Kα, 1.54184 Å
Structure: a structure optimized by DFT (PBE)
No peak broadening, texture or thermal motion is included.

Crystal structure
```
data_KSn4P3O12
_chemical_formula_sum 'K6 Sn24 P18 O72'
_cell_length_a 10.0684
_cell_length_b 10.0684
_cell_length_c 25.2355
_cell_angle_alpha 90.00
_cell_angle_beta 90.00
_cell_angle_gamma 120.00
_symmetry_space_group_name_H-M 'R 3 c'
_symmetry_Int_Tables_number 161
_symmetry_space_group_name_Hall 'R 3 -2"c'
loop_
_atom_site_label
_atom_site_type_symbol
_atom_site_fract_x
_atom_site_fract_y
_atom_site_fract_z
K1 K 0.0000 0.0000 0.0000
Sn1 Sn 0.0000 0.0000 0.3521
Sn2 Sn 0.0715 0.4892 0.3803
P1 P 0.1349 0.3383 0.5847
O1 O 0.0066 0.1743 0.9029
O2 O 0.0436 0.4511 0.7094
O3 O 0.1152 0.4100 0.2539
O4 O 0.1411 0.3469 0.1404
```

Largest 10 diffraction maxima, low angle first, 10 to 90 degrees two-theta:
| index | two_theta | I (rel.) |
| --- | --- | --- |
| 0 0 6 | 21.12 | 41 |
| 2 0 2 | 21.57 | 100 |
| 2 1 1 | 27.29 | 20 |
| 1 1 6 | 27.64 | 19 |
| 1 2 2 | 27.98 | 19 |
| 2 1 4 | 30.60 | 24 |
| 2 0 8 | 35.11 | 20 |
| 2 2 0 | 35.67 | 18 |
| 0 3 6 | 37.62 | 23 |
| 4 1 3 | 49.09 | 20 |

[3]
Theoretical X-ray powder pattern
Compound: CaSnF5
Radiation: Cu Kα, 1.54184 Å
Structure: a structure optimized by DFT (PBE)
No peak broadening, texture or thermal motion is included.

Crystal structure
```
data_CaSnF5
_chemical_formula_sum 'Ca4 Sn4 F20'
_cell_length_a 5.8658
_cell_length_b 10.7913
_cell_length_c 8.2283
_cell_angle_alpha 90.00
_cell_angle_beta 110.16
_cell_angle_gamma 90.00
_symmetry_space_group_name_H-M 'P 1 21/c 1'
_symmetry_Int_Tables_number 14
_symmetry_space_group_name_Hall '-P 2ybc'
loop_
_atom_site_label
_atom_site_type_symbol
_atom_site_fract_x
_atom_site_fract_y
_atom_site_fract_z
Ca1 Ca 0.0262 0.0167 0.2529
Sn1 Sn 0.3971 0.2463 0.6007
F1 F 0.0993 0.1098 0.5550
F2 F 0.1305 0.1042 0.0000
F3 F 0.3091 0.6300 0.3553
F4 F 0.3391 0.1974 0.3353
F5 F 0.3635 0.5954 0.8063
```

Largest 10 diffraction maxima, low angle first, 10 to 90 degrees two-theta:
| index | two_theta | I (rel.) |
| --- | --- | --- |
| 0 2 0 | 16.43 | 24 |
| 1 1 0 | 18.09 | 46 |
| 1 2 0 | 23.08 | 81 |
| 0 1 2 | 24.53 | 100 |
| 0 2 2 | 28.46 | 19 |
| 2 3 0 | 41.31 | 36 |
| 1 0 -4 | 44.02 | 18 |
| 1 4 2 | 47.21 | 20 |
| 2 4 -2 | 47.37 | 16 |
| 2 2 -4 | 50.41 | 17 |